[1]
For Sr4SnPbO8, a GGA-PBE-relaxed structure gives the simulated powder X-ray diffraction pattern in this record (Cu Kα).
Neutral-atom scattering factors, no anomalous dispersion.

a b c (Å): 4.210 4.210 12.713
angles (deg): 90.00 90.00 90.00
Positions (direct):
Sr1 0.000 0.000 0.142
Sr2 0.000 0.000 0.858
Sr3 0.500 0.500 0.351
Sr4 0.500 0.500 0.649
Sn1 0.500 0.500 0.000
Pb1 0.000 0.000 0.500
O1 0.000 0.000 0.328
O2 0.000 0.000 0.672
O3 0.000 0.500 0.000
O4 0.000 0.500 0.500
O5 0.500 0.000 0.000
O6 0.500 0.000 0.500
O7 0.500 0.500 0.162
O8 0.500 0.500 0.838

Most intense lines, 2θ from 10° to 80°, by angle:
6.357 Å, I = 192
2.983 Å, I = 1000
2.176 Å, I = 126
2.119 Å, I = 81
2.105 Å, I = 213
1.726 Å, I = 116
1.721 Å, I = 250
1.513 Å, I = 77
1.493 Å, I = 101
1.332 Å, I = 127

[2]
For TlSnPbO6, a GGA-PBE-relaxed structure gives the simulated powder X-ray diffraction pattern in this record (Cu Kα).
Neutral-atom scattering factors, no anomalous dispersion.

a b c (Å): 5.025 5.025 10.231
angles (deg): 90.00 90.00 90.00
Positions (direct):
Tl1 0.000 0.000 0.000
Tl2 0.500 0.500 0.500
Sn1 0.000 0.000 0.334
Sn2 0.500 0.500 0.834
Pb1 0.000 0.000 0.666
Pb2 0.500 0.500 0.166
O1 0.185 0.185 0.493
O2 0.191 0.191 0.178
O3 0.204 0.204 0.828
O4 0.296 0.704 0.328
O5 0.309 0.691 0.678
O6 0.315 0.685 0.993
O7 0.685 0.315 0.993
O8 0.691 0.309 0.678
O9 0.704 0.296 0.328
O10 0.796 0.796 0.828
O11 0.809 0.809 0.178
O12 0.815 0.815 0.493

Most intense lines, 2θ from 10° to 80°, by angle:
3.553 Å, I = 1000
2.822 Å, I = 918
2.512 Å, I = 284
1.876 Å, I = 720
1.777 Å, I = 167
1.589 Å, I = 178
1.537 Å, I = 182
1.503 Å, I = 207
1.411 Å, I = 108
1.290 Å, I = 168

[3]
For Sr2PbO3, a GGA-PBE-relaxed structure gives the simulated powder X-ray diffraction pattern in this record (Cu Kα).
Neutral-atom scattering factors, no anomalous dispersion.

a b c (Å): 6.405 6.405 6.405
angles (deg): 146.44 132.08 59.77
Positions (direct):
Sr1 0.165 0.165 0.000
Sr2 0.835 0.835 0.000
Pb1 0.500 0.500 0.000
O1 0.000 0.500 0.500
O2 0.325 0.825 0.500
O3 0.675 0.175 0.500

Most intense lines, 2θ from 10° to 80°, by angle:
5.554 Å, I = 123
4.711 Å, I = 166
3.015 Å, I = 1000
2.617 Å, I = 588
2.601 Å, I = 290
1.850 Å, I = 205
1.845 Å, I = 407
1.577 Å, I = 319
1.570 Å, I = 157
1.508 Å, I = 207

[4]
For SrPbO3, a GGA-PBE-relaxed structure gives the simulated powder X-ray diffraction pattern in this record (Cu Kα).
Neutral-atom scattering factors, no anomalous dispersion.

a b c (Å): 3.619 5.706 7.174
angles (deg): 90.00 90.00 90.00
Positions (direct):
Sr1 0.250 0.250 0.128
Sr2 0.750 0.750 0.872
Pb1 0.250 0.750 0.396
Pb2 0.750 0.250 0.604
O1 0.250 0.512 0.648
O2 0.250 0.750 0.096
O3 0.250 0.988 0.648
O4 0.750 0.012 0.352
O5 0.750 0.250 0.904
O6 0.750 0.488 0.352

Most intense lines, 2θ from 10° to 80°, by angle:
7.174 Å, I = 555
3.231 Å, I = 465
3.056 Å, I = 256
3.037 Å, I = 982
2.853 Å, I = 445
2.812 Å, I = 1000
2.139 Å, I = 514
1.995 Å, I = 271
1.635 Å, I = 333
1.555 Å, I = 285

[5]
For Sr2PbO3, a GGA-PBE-relaxed structure gives the simulated powder X-ray diffraction pattern in this record (Cu Kα).
Neutral-atom scattering factors, no anomalous dispersion.

a b c (Å): 7.343 7.343 7.343
angles (deg): 50.31 50.31 50.31
Positions (direct):
Sr1 0.165 0.165 0.165
Sr2 0.335 0.335 0.335
Sr3 0.665 0.665 0.665
Sr4 0.835 0.835 0.835
Pb1 0.000 0.000 0.000
Pb2 0.500 0.500 0.500
O1 0.076 0.750 0.424
O2 0.250 0.576 0.924
O3 0.424 0.076 0.750
O4 0.576 0.924 0.250
O5 0.750 0.424 0.076
O6 0.924 0.250 0.576

Most intense lines, 2θ from 10° to 80°, by angle:
4.710 Å, I = 268
3.589 Å, I = 133
3.199 Å, I = 292
3.121 Å, I = 962
2.234 Å, I = 1000
1.802 Å, I = 285
1.570 Å, I = 237
1.561 Å, I = 130
1.423 Å, I = 193
1.403 Å, I = 224

[6]
For Sr5Pb2O2, a GGA-PBE-relaxed structure gives the simulated powder X-ray diffraction pattern in this record (Cu Kα).
Neutral-atom scattering factors, no anomalous dispersion.

a b c (Å): 10.882 10.882 10.882
angles (deg): 60.50 137.49 139.05
Positions (direct):
Sr1 0.193 0.388 0.079
Sr2 0.193 0.614 0.305
Sr3 0.236 0.242 0.493
Sr4 0.247 0.010 0.257
Sr5 0.247 0.490 0.738
Sr6 0.309 0.114 0.921
Sr7 0.309 0.888 0.695
Sr8 0.749 0.742 0.507
Sr9 0.753 0.510 0.262
Sr10 0.753 0.990 0.743
Pb1 0.741 0.130 0.378
Pb2 0.741 0.862 0.110
Pb3 0.752 0.362 0.622
Pb4 0.752 0.630 0.890
O1 0.182 0.997 0.685
O2 0.244 0.244 0.000
O3 0.244 0.744 0.500
O4 0.312 0.497 0.315

Most intense lines, 2θ from 10° to 80°, by angle:
5.479 Å, I = 279
3.807 Å, I = 188
3.567 Å, I = 380
3.022 Å, I = 957
2.958 Å, I = 1000
2.739 Å, I = 901
2.350 Å, I = 264
1.784 Å, I = 447
1.641 Å, I = 246
1.610 Å, I = 305